For Co, a DFT-relaxed cell (GGA-PBE, OQMD) gives the theoretical powder X-ray diffraction pattern in this record (a wavelength of 1.5418 Å).
No peak broadening, texture or thermal motion is included.

Most intense lines, 10° ≤ 2θ ≤ 80°, sorted by position:
40.08 deg, d 2.249, rel. 24, (0 0 2); 43.72 deg, d 2.071, rel. 96, (4 1 0); 45.05 deg, d 2.012, rel. 40, (3 3 0); 45.58 deg, d 1.990, rel. 37, (2 0 2); 46.88 deg, d 1.938, rel. 71, (2 1 2); 48.39 deg, d 1.881, rel. 100, (4 1 1); 49.63 deg, d 1.837, rel. 51, (3 3 1); 52.99 deg, d 1.728, rel. 16, (3 1 2); 78.80 deg, d 1.215, rel. 21, (4 1 3); 79.75 deg, d 1.202, rel. 21, (3 3 3)

Structural model:
```
data_Co
_chemical_formula_sum 'Co30'
_symmetry_space_group_name_H-M 'P 42/m n m'
_symmetry_Int_Tables_number 136
_symmetry_space_group_name_Hall '-P 4n 2n'
_cell_length_a 8.5374
_cell_length_b 8.5374
_cell_length_c 4.4990
_cell_angle_alpha 90.00
_cell_angle_beta 90.00
_cell_angle_gamma 90.00
loop_
_atom_site_label
_atom_site_fract_x
_atom_site_fract_y
_atom_site_fract_z
Co1 0.0000 0.0000 0.0000
Co2 0.0377 0.3663 0.5000
Co3 0.0660 0.2633 0.0000
Co4 0.0978 0.0978 0.5000
Co5 0.1823 0.8177 0.2510
```


For Co, a DFT-relaxed cell (GGA-PBE, OQMD) gives the theoretical powder X-ray diffraction pattern in this record (a wavelength of 1.5418 Å).
No peak broadening, texture or thermal motion is included.

Most intense lines, 10° ≤ 2θ ≤ 80°, sorted by position:
37.88 deg, d 2.375, rel. 5, (0 0 4); 41.05 deg, d 2.199, rel. 16, (3 0 1); 45.54 deg, d 1.992, rel. 25, (2 1 3); 46.40 deg, d 1.957, rel. 91, (2 2 0); 46.70 deg, d 1.945, rel. 100, (2 0 4); 49.41 deg, d 1.845, rel. 7, (3 1 1); 50.43 deg, d 1.810, rel. 7, (2 2 2); 56.96 deg, d 1.617, rel. 8, (3 1 3); 67.95 deg, d 1.380, rel. 16, (4 0 4); 76.41 deg, d 1.246, rel. 5, (5 0 3)

Structural model:
```
data_Co
_chemical_formula_sum 'Co46'
_symmetry_space_group_name_H-M 'P 63 m c'
_symmetry_Int_Tables_number 186
_symmetry_space_group_name_Hall 'P 6c -2c'
_cell_length_a 7.8284
_cell_length_b 7.8284
_cell_length_c 9.4996
_cell_angle_alpha 90.00
_cell_angle_beta 90.00
_cell_angle_gamma 120.00
loop_
_atom_site_label
_atom_site_fract_x
_atom_site_fract_y
_atom_site_fract_z
Co1 0.0000 0.0000 0.0000
Co2 0.0000 0.0000 0.2454
Co3 0.0292 0.5146 0.7532
Co4 0.0309 0.5154 0.4965
Co5 0.1579 0.3157 0.6239
Co6 0.1653 0.3306 0.8883
Co7 0.1656 0.3312 0.3594
Co8 0.2246 0.4492 0.1238
Co9 0.3333 0.6667 0.3386
Co10 0.3333 0.6667 0.6259
Co11 0.3333 0.6667 0.9084
```


For Co, a DFT-relaxed cell (GGA-PBE, OQMD) gives the theoretical powder X-ray diffraction pattern in this record (a wavelength of 1.5418 Å).
No peak broadening, texture or thermal motion is included.

Most intense lines, 10° ≤ 2θ ≤ 80°, sorted by position:
45.89 deg, d 1.978, rel. 100, (1 1 0); 66.91 deg, d 1.398, rel. 15, (0 2 1)

Structural model:
```
data_Co
_chemical_formula_sum 'Co3'
_symmetry_space_group_name_H-M 'P -3 m 1'
_symmetry_Int_Tables_number 164
_symmetry_space_group_name_Hall '-P 3 2"'
_cell_length_a 3.9548
_cell_length_b 3.9548
_cell_length_c 2.4226
_cell_angle_alpha 90.00
_cell_angle_beta 90.00
_cell_angle_gamma 120.00
loop_
_atom_site_label
_atom_site_fract_x
_atom_site_fract_y
_atom_site_fract_z
Co1 0.0000 0.0000 0.0000
Co2 0.3333 0.6667 0.6640
```


For Co, a DFT-relaxed cell (GGA-PBE, OQMD) gives the theoretical powder X-ray diffraction pattern in this record (a wavelength of 1.5418 Å).
No peak broadening, texture or thermal motion is included.

Most intense lines, 10° ≤ 2θ ≤ 80°, sorted by position:
42.01 deg, d 2.150, rel. 25, (1 0 0); 45.17 deg, d 2.007, rel. 27, (0 0 2); 47.99 deg, d 1.896, rel. 100, (1 0 1); 63.38 deg, d 1.467, rel. 13, (1 0 2); 76.77 deg, d 1.242, rel. 15, (1 1 0)

Structural model:
```
data_Co
_chemical_formula_sum 'Co2'
_symmetry_space_group_name_H-M 'P 63/m m c'
_symmetry_Int_Tables_number 194
_symmetry_space_group_name_Hall '-P 6c 2c'
_cell_length_a 2.4832
_cell_length_b 2.4832
_cell_length_c 4.0150
_cell_angle_alpha 90.00
_cell_angle_beta 90.00
_cell_angle_gamma 120.00
loop_
_atom_site_label
_atom_site_fract_x
_atom_site_fract_y
_atom_site_fract_z
Co1 0.3333 0.6667 0.2500
```